Structure and theoretical powder diffractogram of Ga2Sn3Pb (the PBE geometry in Alexandria; copper Kα).
Kinematic intensities with the Lorentz-polarization factor, no thermal factor.

Top 10 peaks for 15 to 90 degrees two-theta, low angle first:
two_theta  Rel. int.
22.1  48
25.2  16
26.5  32
27.6  23
29.1  24
29.4  50
36.8  47
37.0  100
45.0  23
54.6  19

Crystal structure
Unit cell a=7.0581 b=7.0581 c=8.0608 alpha=90.00 beta=90.00 gamma=59.45
Sites, in units of the cell vectors:
Ga 0.1677 0.1677 0.0000
Ga 0.1677 0.1677 0.5000
Ga 0.8323 0.8323 0.0000
Ga 0.8323 0.8323 0.5000
Sn 0.0459 0.9541 0.7500
Sn 0.0696 0.4974 0.2500
Sn 0.4974 0.0696 0.7500
Sn 0.5026 0.9304 0.2500
Sn 0.9304 0.5026 0.7500
Sn 0.9541 0.0459 0.2500
Pb 0.4893 0.5107 0.7500
Pb 0.5107 0.4893 0.2500